(1)
Structure and simulated PXRD pattern of Er12Al6Pb (a structure optimized by DFT (PBE); CuKα).
Neutral-atom scattering factors, no anomalous dispersion.

The 10 most intense peaks (2θ = 10–80°), in order of rising 2θ:
d [Å]  I (rel.)  (hkl)
7.120  12  1 1 0
3.560  12  2 2 0
3.184  58  3 1 0
2.907  69  2 2 2
2.691  100  3 2 1
2.517  28  4 0 0
1.975  15  4 3 1
1.727  43  5 0 3
1.634  45  5 3 2
1.424  25  5 4 3

Structure:
```
data_Er12Al6Pb
_chemical_formula_sum 'Er24 Al12 Pb2'
_cell_length_a 10.0696
_cell_length_b 10.0696
_cell_length_c 10.0696
_cell_angle_alpha 90.00
_cell_angle_beta 90.00
_cell_angle_gamma 90.00
_symmetry_space_group_name_H-M 'I m -3'
_symmetry_Int_Tables_number 204
_symmetry_space_group_name_Hall '-I 2 2 3'
loop_
_atom_site_label
_atom_site_type_symbol
_atom_site_fract_x
_atom_site_fract_y
_atom_site_fract_z
Er1 Er 0.0000 0.1883 0.2881
Al1 Al 0.0000 0.3758 0.5000
Pb1 Pb 0.0000 0.0000 0.0000
```

---

(2)
Structure and simulated PXRD pattern of Y2HoCu2 (a structure optimized by DFT (PBE); CuKα).
Neutral-atom scattering factors, no anomalous dispersion.

The 10 most intense peaks (2θ = 10–80°), in order of rising 2θ:
d [Å]  I (rel.)  (hkl)
3.132  30  1 1 1
2.781  23  2 2 0
2.729  69  2 0 1
2.578  100  2 1 1
2.488  86  3 1 0
2.080  19  3 1 1
1.895  21  0 0 2
1.666  20  3 3 1
1.507  35  3 1 2
1.429  24  5 1 1

Structure:
```
data_Y2HoCu2
_chemical_formula_sum 'Y4 Ho2 Cu4'
_cell_length_a 7.8666
_cell_length_b 7.8666
_cell_length_c 3.7896
_cell_angle_alpha 90.00
_cell_angle_beta 90.00
_cell_angle_gamma 90.00
_symmetry_space_group_name_H-M 'P 4/m b m'
_symmetry_Int_Tables_number 127
_symmetry_space_group_name_Hall '-P 4 2ab'
loop_
_atom_site_label
_atom_site_type_symbol
_atom_site_fract_x
_atom_site_fract_y
_atom_site_fract_z
Y1 Y 0.1646 0.3354 0.0000
Ho1 Ho 0.0000 0.0000 0.5000
Cu1 Cu 0.1227 0.6227 0.5000
```

---

(3)
Structure and simulated PXRD pattern of Ho7Cu3Te12 (a structure optimized by DFT (PBE); CuKα).
Neutral-atom scattering factors, no anomalous dispersion.

The 10 most intense peaks (2θ = 10–80°), in order of rising 2θ:
d [Å]  I (rel.)  (hkl)
7.004  17  0 0 2
3.181  100  2 1 -2
2.798  24  1 2 4
2.345  13  1 2 -4
2.166  19  0 3 1
2.165  37  3 3 1
2.068  13  1 2 -5
2.063  16  2 1 6
1.790  19  2 4 -1
1.380  16  5 4 -1

Structure:
```
data_Ho7Cu3Te12
_chemical_formula_sum 'Ho7 Cu3 Te12'
_cell_length_a 7.5005
_cell_length_b 7.5028
_cell_length_c 14.2228
_cell_angle_alpha 80.04
_cell_angle_beta 85.09
_cell_angle_gamma 60.01
_symmetry_space_group_name_H-M 'P 1'
_symmetry_Int_Tables_number 1
loop_
_symmetry_equiv_pos_as_xyz
'x,y,z'
loop_
_atom_site_label
_atom_site_type_symbol
_atom_site_fract_x
_atom_site_fract_y
_atom_site_fract_z
Ho1 Ho 0.0000 0.0000 0.0000
Ho2 Ho 0.0022 0.4133 0.7439
Ho3 Ho 0.0075 0.8200 0.4922
Ho4 Ho 0.3320 0.1697 0.4923
Ho5 Ho 0.3400 0.3171 0.9997
Ho6 Ho 0.6694 0.6573 0.9999
Ho7 Ho 0.6751 0.4944 0.4918
Cu1 Cu 0.3361 0.5474 0.3323
Cu2 Cu 0.3378 0.9362 0.1727
Cu3 Cu 0.6726 0.2652 0.1728
Te1 Te 0.0038 0.2903 0.1316
Te2 Te 0.0048 0.1179 0.6207
Te3 Te 0.0052 0.6976 0.8744
Te4 Te 0.3279 0.6146 0.1307
Te5 Te 0.3348 0.0321 0.8721
Te6 Te 0.3383 0.8758 0.3652
Te7 Te 0.3403 0.4517 0.6222
Te8 Te 0.6686 0.3691 0.8720
Te9 Te 0.6703 0.7870 0.6206
Te10 Te 0.6771 0.1966 0.3652
Te11 Te 0.6795 0.9393 0.1299
Te12 Te 0.9984 0.5372 0.3636
```

---

(4)
Structure and simulated PXRD pattern of TlAg2RhCl6 (a structure optimized by DFT (PBE); CuKα).
Neutral-atom scattering factors, no anomalous dispersion.

The 10 most intense peaks (2θ = 10–80°), in order of rising 2θ:
d [Å]  I (rel.)  (hkl)
6.947  26  0 0 1
5.675  23  1 0 0
5.133  31  1 1 0
3.905  42  1 1 2
3.405  100  1 2 1
3.057  18  1 2 2
2.432  88  2 1 -1
2.049  17  1 -2 1
1.966  62  3 3 2
1.702  20  2 0 4

Structure:
```
data_TlAg2RhCl6
_chemical_formula_sum 'Tl1 Ag2 Rh1 Cl6'
_cell_length_a 6.8073
_cell_length_b 6.8095
_cell_length_c 7.9789
_cell_angle_alpha 64.83
_cell_angle_beta 64.76
_cell_angle_gamma 60.05
_symmetry_space_group_name_H-M 'P -1'
_symmetry_Int_Tables_number 2
loop_
_symmetry_equiv_pos_as_xyz
'x,y,z'
'-x,-y,-z'
loop_
_atom_site_label
_atom_site_type_symbol
_atom_site_fract_x
_atom_site_fract_y
_atom_site_fract_z
Tl1 Tl 0.0000 0.0000 0.0000
Ag1 Ag 0.1855 0.1867 0.4415
Rh1 Rh 0.5000 0.5000 0.5000
Cl1 Cl 0.1532 0.4278 0.6955
Cl2 Cl 0.2753 0.8466 0.3057
Cl3 Cl 0.4286 0.7246 0.6944
```

---

(5)
Structure and simulated PXRD pattern of CaSi3Pd10 (a structure optimized by DFT (PBE); CuKα).
Neutral-atom scattering factors, no anomalous dispersion.

The 10 most intense peaks (2θ = 10–80°), in order of rising 2θ:
d [Å]  I (rel.)  (hkl)
4.332  18  2 2 0
2.740  24  4 2 0
2.358  100  3 3 3
2.166  18  4 4 0
2.071  49  5 3 1
2.042  17  6 0 0
1.847  12  6 2 2
1.444  20  6 6 0
1.345  14  9 1 1
1.251  15  8 4 4

Structure:
```
data_CaSi3Pd10
_chemical_formula_sum 'Ca8 Si24 Pd80'
_cell_length_a 12.2529
_cell_length_b 12.2529
_cell_length_c 12.2529
_cell_angle_alpha 90.00
_cell_angle_beta 90.00
_cell_angle_gamma 90.00
_symmetry_space_group_name_H-M 'F m -3 m'
_symmetry_Int_Tables_number 225
_symmetry_space_group_name_Hall '-F 4 2 3'
loop_
_atom_site_label
_atom_site_type_symbol
_atom_site_fract_x
_atom_site_fract_y
_atom_site_fract_z
Ca1 Ca 0.2500 0.2500 0.2500
Si1 Si 0.0000 0.0000 0.2328
Pd1 Pd 0.0000 0.1711 0.3289
Pd2 Pd 0.1155 0.1155 0.1155
```

---

(6)
Structure and simulated PXRD pattern of NbRu (a structure optimized by DFT (PBE); CuKα).
Neutral-atom scattering factors, no anomalous dispersion.

The 10 most intense peaks (2θ = 10–80°), in order of rising 2θ:
d [Å]  I (rel.)  (hkl)
2.571  45  0 0 4
2.519  37  0 2 1
2.423  56  2 0 1
2.285  58  1 0 4
2.248  100  1 2 1
2.196  37  2 1 1
2.092  25  1 1 4
2.070  56  0 2 3
2.060  27  2 1 2
1.880  30  2 1 3

Structure:
```
data_NbRu
_chemical_formula_sum 'Nb8 Ru8'
_cell_length_a 4.9875
_cell_length_b 5.1954
_cell_length_c 10.2824
_cell_angle_alpha 90.00
_cell_angle_beta 90.00
_cell_angle_gamma 90.00
_symmetry_space_group_name_H-M 'P 21 21 21'
_symmetry_Int_Tables_number 19
loop_
_symmetry_equiv_pos_as_xyz
'x,y,z'
'-x+1/2,-y,z+1/2'
'x+1/2,-y+1/2,-z'
'-x,y+1/2,-z+1/2'
loop_
_atom_site_label
_atom_site_type_symbol
_atom_site_fract_x
_atom_site_fract_y
_atom_site_fract_z
Nb1 Nb 0.1350 0.1177 0.3045
Nb2 Nb 0.1404 0.5959 0.5128
Ru1 Ru 0.1407 0.3923 0.7686
Ru2 Ru 0.1693 0.1049 0.5526
```

---

(7)
Structure and simulated PXRD pattern of PPdAu (a structure optimized by DFT (PBE); CuKα).
Neutral-atom scattering factors, no anomalous dispersion.

The 10 most intense peaks (2θ = 10–80°), in order of rising 2θ:
d [Å]  I (rel.)  (hkl)
3.332  28  0 2 0
3.090  58  1 1 1
2.851  26  0 0 2
2.680  100  1 2 -1
2.621  43  0 1 2
2.483  89  2 1 0
2.166  39  0 2 2
2.136  27  2 1 -2
1.874  39  1 3 1
1.686  20  2 1 2

Structure:
```
data_PPdAu
_chemical_formula_sum 'P4 Pd4 Au4'
_cell_length_a 5.5293
_cell_length_b 6.6646
_cell_length_c 5.8910
_cell_angle_alpha 90.00
_cell_angle_beta 104.58
_cell_angle_gamma 90.00
_symmetry_space_group_name_H-M 'P 1 21 1'
_symmetry_Int_Tables_number 4
loop_
_symmetry_equiv_pos_as_xyz
'x,y,z'
'-x,y+1/2,-z'
loop_
_atom_site_label
_atom_site_type_symbol
_atom_site_fract_x
_atom_site_fract_y
_atom_site_fract_z
P1 P 0.0113 0.0000 0.3761
P2 P 0.4284 0.8803 0.7535
Pd1 Pd 0.1696 0.1742 0.7352
Pd2 Pd 0.3380 0.5873 0.9352
Au1 Au 0.1296 0.3059 0.1966
Au2 Au 0.3819 0.8289 0.3291
```

---

(8)
Structure and simulated PXRD pattern of Pa4Se5S2 (a structure optimized by DFT (PBE); CuKα).
Neutral-atom scattering factors, no anomalous dispersion.

The 10 most intense peaks (2θ = 10–80°), in order of rising 2θ:
d [Å]  I (rel.)  (hkl)
7.371  84  0 0 1
6.318  70  2 0 -1
3.854  73  6 0 0
3.485  39  3 1 0
3.132  88  3 1 1
2.724  43  8 0 -1
2.656  100  1 1 2
2.346  58  5 1 -2
2.233  31  4 0 3
2.045  47  9 1 1

Structure:
```
data_Pa4Se5S2
_chemical_formula_sum 'Pa8 Se10 S4'
_cell_length_a 23.1397
_cell_length_b 3.9082
_cell_length_c 7.3759
_cell_angle_alpha 90.00
_cell_angle_beta 92.04
_cell_angle_gamma 90.00
_symmetry_space_group_name_H-M 'C 1 2/m 1'
_symmetry_Int_Tables_number 12
loop_
_symmetry_equiv_pos_as_xyz
'x,y,z'
'-x,-y,-z'
'-x,y,-z'
'x,-y,z'
'x+1/2,y+1/2,z'
'-x+1/2,-y+1/2,-z'
'-x+1/2,y+1/2,-z'
'x+1/2,-y+1/2,z'
loop_
_atom_site_label
_atom_site_type_symbol
_atom_site_fract_x
_atom_site_fract_y
_atom_site_fract_z
Pa1 Pa 0.0164 0.0000 0.2850
Pa2 Pa 0.1723 0.5000 0.4295
Se1 Se 0.0000 0.5000 0.0000
Se2 Se 0.1340 0.0000 0.1744
Se3 Se 0.2113 0.0000 0.6877
S1 S 0.0625 0.5000 0.5491
```

---

(9)
Structure and simulated PXRD pattern of Ce2PrIn2Ag2 (a structure optimized by DFT (PBE); CuKα).
Neutral-atom scattering factors, no anomalous dispersion.

The 10 most intense peaks (2θ = 10–80°), in order of rising 2θ:
d [Å]  I (rel.)  (hkl)
2.839  100  1 0 7
2.634  16  0 1 8
2.384  80  1 1 0
2.280  9  0 0 12
1.825  30  0 2 7
1.767  16  0 1 14
1.648  12  1 1 12
1.449  33  2 1 7
1.420  10  2 0 14
1.376  13  3 0 0

Structure:
```
data_Ce2PrIn2Ag2
_chemical_formula_sum 'Ce6 Pr3 In6 Ag6'
_cell_length_a 4.7677
_cell_length_b 4.7677
_cell_length_c 27.3607
_cell_angle_alpha 90.00
_cell_angle_beta 90.00
_cell_angle_gamma 120.00
_symmetry_space_group_name_H-M 'R -3 m'
_symmetry_Int_Tables_number 166
_symmetry_space_group_name_Hall '-R 3 2"'
loop_
_atom_site_label
_atom_site_type_symbol
_atom_site_fract_x
_atom_site_fract_y
_atom_site_fract_z
Ce1 Ce 0.0000 0.0000 0.1428
Pr1 Pr 0.0000 0.0000 0.0000
In1 In 0.0000 0.0000 0.2643
Ag1 Ag 0.0000 0.0000 0.4213
```

---

(10)
Structure and simulated PXRD pattern of Dy2B3C (a structure optimized by DFT (PBE); CuKα).
Neutral-atom scattering factors, no anomalous dispersion.

The 10 most intense peaks (2θ = 10–80°), in order of rising 2θ:
d [Å]  I (rel.)  (hkl)
3.929  50  0 1 0
2.739  70  0 0 2
2.247  100  1 1 1
1.965  12  0 2 0
1.596  29  1 2 1
1.581  18  2 0 0
1.467  20  2 1 0
1.369  9  2 0 2
1.293  17  2 1 2
1.232  16  2 2 0

Structure:
```
data_Dy2B3C
_chemical_formula_sum 'Dy2 B3 C1'
_cell_length_a 3.1621
_cell_length_b 3.9294
_cell_length_c 5.4776
_cell_angle_alpha 90.00
_cell_angle_beta 90.00
_cell_angle_gamma 90.00
_symmetry_space_group_name_H-M 'P m m 2'
_symmetry_Int_Tables_number 25
loop_
_symmetry_equiv_pos_as_xyz
'x,y,z'
'-x,-y,z'
'-x,y,z'
'x,-y,z'
loop_
_atom_site_label
_atom_site_type_symbol
_atom_site_fract_x
_atom_site_fract_y
_atom_site_fract_z
Dy1 Dy 0.0000 0.0000 0.0000
Dy2 Dy 0.5000 0.0000 0.4918
B1 B 0.0000 0.5000 0.3252
B2 B 0.0000 0.5000 0.6676
B3 B 0.5000 0.5000 0.8362
C1 C 0.5000 0.5000 0.1566
```

---

(11)
Structure and simulated PXRD pattern of Tl2Cd3Hg8 (a structure optimized by DFT (PBE); CuKα).
Neutral-atom scattering factors, no anomalous dispersion.

The 10 most intense peaks (2θ = 10–80°), in order of rising 2θ:
d [Å]  I (rel.)  (hkl)
3.541  51  2 2 0
3.035  43  0 0 2
2.881  35  1 1 -2
2.813  100  5 1 0
2.674  67  3 1 -2
2.651  58  2 0 2
2.635  79  4 2 -1
2.447  28  1 3 -1
2.390  52  1 3 1
2.383  49  4 2 1

Structure:
```
data_Tl2Cd3Hg8
_chemical_formula_sum 'Tl4 Cd6 Hg16'
_cell_length_a 15.2738
_cell_length_b 8.0319
_cell_length_c 6.1745
_cell_angle_alpha 90.00
_cell_angle_beta 100.53
_cell_angle_gamma 90.00
_symmetry_space_group_name_H-M 'C 1 2/m 1'
_symmetry_Int_Tables_number 12
loop_
_symmetry_equiv_pos_as_xyz
'x,y,z'
'-x,-y,-z'
'-x,y,-z'
'x,-y,z'
'x+1/2,y+1/2,z'
'-x+1/2,-y+1/2,-z'
'-x+1/2,y+1/2,-z'
'x+1/2,-y+1/2,z'
loop_
_atom_site_label
_atom_site_type_symbol
_atom_site_fract_x
_atom_site_fract_y
_atom_site_fract_z
Tl1 Tl 0.2181 0.0000 0.3659
Cd1 Cd 0.0000 0.0000 0.5000
Cd2 Cd 0.0000 0.1874 0.0000
Hg1 Hg 0.0991 0.3148 0.4536
Hg2 Hg 0.1174 0.5000 0.9660
Hg3 Hg 0.1759 0.0000 0.8569
```

---

Q: Which formula does entry 7 have?
A: PPdAu